Structure and theoretical X-ray diffraction stick pattern of Pm5Co2Pt (a crystal structure in Alexandria, relaxed with GGA-PBE; Cu Kα).

Largest 8 diffraction maxima, low angle first, 2θ = 5–70°:
27.63 deg, d 3.228, intensity 277
30.30 deg, d 2.950, intensity 427
32.93 deg, d 2.720, intensity 979
34.22 deg, d 2.620, intensity 341
34.90 deg, d 2.571, intensity 1000
38.41 deg, d 2.344, intensity 672
51.21 deg, d 1.784, intensity 315
58.86 deg, d 1.569, intensity 330

Atomic structure:
```
data_Pm5Co2Pt
_chemical_formula_sum 'Pm10 Co4 Pt2'
_symmetry_space_group_name_H-M 'P 1'
_symmetry_Int_Tables_number 1
_cell_length_a 8.856
_cell_length_b 8.856
_cell_length_c 8.856
_cell_angle_alpha 130.53
_cell_angle_beta 130.53
_cell_angle_gamma 72.56
loop_
_symmetry_equiv_pos_as_xyz
'x,y,z'
loop_
_atom_site_label
_atom_site_type_symbol
_atom_site_fract_x
_atom_site_fract_y
_atom_site_fract_z
Pm1 Pm 0.000 0.000 0.000
Pm2 Pm 0.037 0.537 0.853
Pm3 Pm 0.184 0.037 0.500
Pm4 Pm 0.316 0.816 0.853
Pm5 Pm 0.463 0.316 0.500
Pm6 Pm 0.500 0.500 0.000
Pm7 Pm 0.537 0.684 0.500
Pm8 Pm 0.684 0.184 0.147
Pm9 Pm 0.816 0.963 0.500
Pm10 Pm 0.963 0.463 0.147
Co1 Co 0.111 0.389 0.500
Co2 Co 0.389 0.889 0.278
Co3 Co 0.611 0.111 0.722
Co4 Co 0.889 0.611 0.500
Pt1 Pt 0.250 0.250 0.000
Pt2 Pt 0.750 0.750 0.000
```

***

Structure and theoretical X-ray diffraction stick pattern of Pm6CoPt3 (a crystal structure in Alexandria, relaxed with GGA-PBE; Cu Kα).

Largest 8 diffraction maxima, low angle first, 2θ = 5–70°:
28.14 deg, d 3.171, intensity 571
28.91 deg, d 3.089, intensity 742
29.59 deg, d 3.019, intensity 1000
30.94 deg, d 2.890, intensity 536
35.01 deg, d 2.563, intensity 562
37.93 deg, d 2.372, intensity 670
38.93 deg, d 2.313, intensity 558
44.91 deg, d 2.018, intensity 569

Atomic structure:
```
data_Pm6CoPt3
_chemical_formula_sum 'Pm12 Co2 Pt6'
_symmetry_space_group_name_H-M 'P 1'
_symmetry_Int_Tables_number 1
_cell_length_a 6.902
_cell_length_b 7.579
_cell_length_c 12.430
_cell_angle_alpha 90.00
_cell_angle_beta 122.88
_cell_angle_gamma 90.00
loop_
_symmetry_equiv_pos_as_xyz
'x,y,z'
loop_
_atom_site_label
_atom_site_type_symbol
_atom_site_fract_x
_atom_site_fract_y
_atom_site_fract_z
Pm1 Pm 0.089 0.186 0.424
Pm2 Pm 0.089 0.314 0.924
Pm3 Pm 0.245 0.671 0.425
Pm4 Pm 0.245 0.829 0.925
Pm5 Pm 0.402 0.052 0.243
Pm6 Pm 0.402 0.448 0.743
Pm7 Pm 0.598 0.552 0.257
Pm8 Pm 0.598 0.948 0.757
Pm9 Pm 0.755 0.171 0.075
Pm10 Pm 0.755 0.329 0.575
Pm11 Pm 0.911 0.686 0.076
Pm12 Pm 0.911 0.814 0.576
Co1 Co 0.000 0.000 0.000
Co2 Co 0.000 0.500 0.500
Pt1 Pt 0.193 0.112 0.745
Pt2 Pt 0.193 0.388 0.245
Pt3 Pt 0.500 0.000 0.500
Pt4 Pt 0.500 0.500 0.000
Pt5 Pt 0.807 0.612 0.755
Pt6 Pt 0.807 0.888 0.255
```

***

Structure and theoretical X-ray diffraction stick pattern of Pm4Co2Pt (a crystal structure in Alexandria, relaxed with GGA-PBE; Cu Kα).

Largest 8 diffraction maxima, low angle first, 2θ = 5–70°:
19.84 deg, d 4.475, intensity 403
28.23 deg, d 3.161, intensity 701
31.62 deg, d 2.829, intensity 587
31.72 deg, d 2.820, intensity 830
37.62 deg, d 2.391, intensity 1000
40.31 deg, d 2.238, intensity 343
47.71 deg, d 1.906, intensity 408
52.23 deg, d 1.751, intensity 266

Atomic structure:
```
data_Pm4Co2Pt
_chemical_formula_sum 'Pm8 Co4 Pt2'
_symmetry_space_group_name_H-M 'P 1'
_symmetry_Int_Tables_number 1
_cell_length_a 7.741
_cell_length_b 7.741
_cell_length_c 7.741
_cell_angle_alpha 109.40
_cell_angle_beta 109.33
_cell_angle_gamma 109.68
loop_
_symmetry_equiv_pos_as_xyz
'x,y,z'
loop_
_atom_site_label
_atom_site_type_symbol
_atom_site_fract_x
_atom_site_fract_y
_atom_site_fract_z
Pm1 Pm 0.203 0.264 0.561
Pm2 Pm 0.203 0.643 0.939
Pm3 Pm 0.264 0.203 0.061
Pm4 Pm 0.357 0.797 0.561
Pm5 Pm 0.643 0.203 0.439
Pm6 Pm 0.736 0.797 0.939
Pm7 Pm 0.797 0.357 0.061
Pm8 Pm 0.797 0.736 0.439
Co1 Co 0.000 0.500 0.500
Co2 Co 0.500 0.000 0.000
Co3 Co 0.500 0.500 0.000
Co4 Co 0.500 0.500 0.500
Pt1 Pt 0.124 0.874 0.250
Pt2 Pt 0.876 0.126 0.750
```

***

Structure and theoretical X-ray diffraction stick pattern of Pm4Co3Pt (a crystal structure in Alexandria, relaxed with GGA-PBE; Cu Kα).

Largest 8 diffraction maxima, low angle first, 2θ = 5–70°:
32.34 deg, d 2.768, intensity 1000
32.93 deg, d 2.720, intensity 212
33.09 deg, d 2.707, intensity 507
39.99 deg, d 2.254, intensity 265
40.13 deg, d 2.247, intensity 536
44.56 deg, d 2.033, intensity 246
45.00 deg, d 2.015, intensity 239
56.98 deg, d 1.616, intensity 214

Atomic structure:
```
data_Pm4Co3Pt
_chemical_formula_sum 'Pm4 Co3 Pt1'
_symmetry_space_group_name_H-M 'P 1'
_symmetry_Int_Tables_number 1
_cell_length_a 4.029
_cell_length_b 4.067
_cell_length_c 10.881
_cell_angle_alpha 90.00
_cell_angle_beta 90.00
_cell_angle_gamma 90.00
loop_
_symmetry_equiv_pos_as_xyz
'x,y,z'
loop_
_atom_site_label
_atom_site_type_symbol
_atom_site_fract_x
_atom_site_fract_y
_atom_site_fract_z
Pm1 Pm 0.000 0.000 0.000
Pm2 Pm 0.000 0.500 0.490
Pm3 Pm 0.500 0.000 0.712
Pm4 Pm 0.500 0.500 0.209
Co1 Co 0.000 0.000 0.301
Co2 Co 0.500 0.000 0.404
Co3 Co 0.500 0.500 0.935
Pt1 Pt 0.000 0.500 0.780
```